No. 1
This entry pairs a crystal structure of La3Ni6P5 with its computed PXRD pattern. Radiation: Cu Kα (weighted mean of Kα1 and Kα2). Structure: a structure optimized by DFT (PBE).

Crystal structure
```
La3Ni6P5
1.0
3.8912 0.0000 0.0000
0.0000 11.8437 0.0000
0.0000 0.0000 9.7566
La Ni P
6 12 10
Cartesian
0.9728 1.1020 2.3853 La
0.9728 4.8199 2.3853 La
0.9728 8.8828 2.4308 La
2.9184 2.9609 7.3258 La
2.9184 7.0238 7.3713 La
2.9184 10.7417 7.3713 La
0.9728 0.7641 8.6583 Ni
0.9728 2.9609 0.0064 Ni
0.9728 2.9609 5.0176 Ni
0.9728 5.1577 8.6583 Ni
0.9728 6.8432 4.8020 Ni
0.9728 10.9223 4.8020 Ni
2.9184 0.9214 4.9546 Ni
2.9184 5.0005 4.9546 Ni
2.9184 6.6860 1.0983 Ni
2.9184 8.8828 4.7391 Ni
2.9184 8.8828 9.7502 Ni
2.9184 11.0796 1.0983 Ni
0.9728 0.9180 6.2292 P
0.9728 5.0039 6.2292 P
0.9728 7.2611 9.7148 P
0.9728 8.8828 5.8918 P
0.9728 10.5045 9.7148 P
2.9184 1.3392 0.0418 P
2.9184 2.9609 3.8648 P
2.9184 4.5826 0.0418 P
2.9184 6.8398 3.5275 P
2.9184 10.9257 3.5275 P
```

Principal peaks in the range 10 to 90 degrees two-theta, sorted by position:
| two_theta | d [Å] | I/Imax |
| --- | --- | --- |
| 24.32 | 3.660 | 21 |
| 24.63 | 3.614 | 20 |
| 35.77 | 2.510 | 37 |
| 35.99 | 2.495 | 38 |
| 37.32 | 2.410 | 100 |
| 45.98 | 1.974 | 21 |
| 46.69 | 1.946 | 24 |
| 59.73 | 1.548 | 14 |
| 60.18 | 1.538 | 16 |
| 66.69 | 1.402 | 20 |

No. 2
This entry pairs a crystal structure of La2Ni12P3Pt with its computed PXRD pattern. Radiation: Cu Kα (weighted mean of Kα1 and Kα2). Structure: a structure optimized by DFT (PBE).

Crystal structure
```
La2Ni12P3Pt
1.0
3.8138 2.2019 5.7873
-3.8138 2.2019 5.7873
0.0000 -4.4038 5.7873
La Ni P Pt
2 12 3 1
Cartesian
0.0000 0.0000 1.9900 La
0.0000 0.0000 15.3719 La
-1.9532 -1.1277 7.9083 Ni
0.0000 -1.9453 5.3122 Ni
-1.6847 0.9726 5.3122 Ni
0.0000 -2.2554 9.4536 Ni
-1.9532 1.1277 9.4536 Ni
-1.6846 -0.9726 12.0497 Ni
1.6847 0.9726 5.3122 Ni
1.9532 -1.1277 7.9083 Ni
0.0000 2.2554 7.9083 Ni
1.6846 -0.9726 12.0497 Ni
0.0000 1.9453 12.0497 Ni
1.9532 1.1277 9.4536 Ni
-1.9069 -1.1009 5.7873 P
-1.9069 1.1009 11.5746 P
0.0000 2.2019 5.7873 P
0.0000 0.0000 8.6809 Pt
```

Principal peaks in the range 10 to 90 degrees two-theta, sorted by position:
| two_theta | d [Å] | I/Imax |
| --- | --- | --- |
| 28.02 | 3.184 | 82 |
| 28.92 | 3.087 | 18 |
| 29.05 | 3.074 | 53 |
| 34.11 | 2.628 | 84 |
| 37.48 | 2.399 | 32 |
| 37.58 | 2.393 | 35 |
| 44.00 | 2.058 | 29 |
| 47.69 | 1.907 | 100 |
| 50.31 | 1.814 | 80 |
| 71.83 | 1.314 | 23 |

No. 3
This entry pairs a crystal structure of La2PaNi4 with its computed PXRD pattern. Radiation: Cu Kα (weighted mean of Kα1 and Kα2). Structure: a structure optimized by DFT (PBE).

Crystal structure
```
La2PaNi4
1.0
-2.6177 2.6177 5.0335
2.6177 -2.6177 5.0335
2.6177 2.6177 -5.0335
La Pa Ni
2 1 4
Cartesian
0.0000 0.0000 1.7123 La
0.0000 0.0000 8.3548 La
0.0000 0.0000 5.0335 Pa
2.6177 0.0000 1.2438 Ni
2.6177 0.0000 3.7898 Ni
0.0000 2.6177 1.2438 Ni
0.0000 2.6177 3.7898 Ni
```

Principal peaks in the range 10 to 90 degrees two-theta, sorted by position:
| two_theta | d [Å] | I/Imax |
| --- | --- | --- |
| 24.04 | 3.702 | 22 |
| 31.67 | 2.825 | 100 |
| 34.26 | 2.618 | 95 |
| 43.48 | 2.081 | 23 |
| 47.34 | 1.920 | 66 |
| 49.23 | 1.851 | 34 |
| 59.72 | 1.548 | 17 |
| 60.59 | 1.528 | 17 |
| 70.69 | 1.333 | 20 |
| 82.37 | 1.171 | 15 |

No. 4
This entry pairs a crystal structure of LaPaNi10 with its computed PXRD pattern. Radiation: Cu Kα (weighted mean of Kα1 and Kα2). Structure: a structure optimized by DFT (PBE).

Crystal structure
```
LaPaNi10
1.0
3.9995 0.0000 0.0000
0.0000 4.9159 0.0000
0.0000 0.0000 8.4931
La Pa Ni
1 1 10
Cartesian
0.0000 0.0000 0.0000 La
0.0000 2.4580 4.2465 Pa
0.0000 0.0000 2.8988 Ni
0.0000 0.0000 5.5942 Ni
0.0000 2.4580 1.5331 Ni
0.0000 2.4580 6.9600 Ni
1.9997 0.0000 4.2465 Ni
1.9997 1.2571 2.1987 Ni
1.9997 1.2571 6.2944 Ni
1.9997 2.4580 0.0000 Ni
1.9997 3.6588 2.1987 Ni
1.9997 3.6588 6.2944 Ni
```

Principal peaks in the range 10 to 90 degrees two-theta, sorted by position:
| two_theta | d [Å] | I/Imax |
| --- | --- | --- |
| 10.42 | 8.493 | 12 |
| 30.69 | 2.913 | 59 |
| 36.61 | 2.455 | 34 |
| 42.52 | 2.126 | 36 |
| 43.24 | 2.092 | 100 |
| 45.35 | 2.000 | 26 |
| 59.63 | 1.550 | 16 |
| 62.23 | 1.492 | 11 |
| 63.91 | 1.457 | 21 |
| 70.45 | 1.337 | 15 |

No. 5
This entry pairs a crystal structure of LaPaNiS4 with its computed PXRD pattern. Radiation: Cu Kα (weighted mean of Kα1 and Kα2). Structure: a structure optimized by DFT (PBE).

Crystal structure
```
LaPaNiS4
1.0
6.3190 0.0000 0.0000
0.0000 5.9890 0.0000
-2.3059 0.0000 7.5220
La Pa Ni S
2 2 2 8
Cartesian
0.5522 1.4972 3.3063 La
3.4608 4.4917 4.2156 La
-0.5539 1.4972 7.0905 Pa
4.5669 4.4917 0.4314 Pa
1.2708 4.4917 1.3027 Ni
2.7422 1.4972 6.2193 Ni
-1.6457 4.4917 6.7449 S
-0.4041 4.4917 2.7943 S
1.2773 3.0657 5.7366 S
1.2773 5.9177 5.7366 S
2.7357 0.0712 1.7853 S
2.7357 2.9232 1.7853 S
4.4171 1.4972 4.7277 S
5.6587 1.4972 0.7771 S
```

Principal peaks in the range 10 to 90 degrees two-theta, sorted by position:
| two_theta | d [Å] | I/Imax |
| --- | --- | --- |
| 11.77 | 7.522 | 38 |
| 20.89 | 4.253 | 100 |
| 28.01 | 3.185 | 37 |
| 28.25 | 3.160 | 37 |
| 29.57 | 3.021 | 31 |
| 29.84 | 2.994 | 55 |
| 32.13 | 2.786 | 40 |
| 34.96 | 2.567 | 54 |
| 35.52 | 2.527 | 49 |
| 42.51 | 2.127 | 46 |

No. 6
This entry pairs a crystal structure of La4NiPb2 with its computed PXRD pattern. Radiation: Cu Kα (weighted mean of Kα1 and Kα2). Structure: a structure optimized by DFT (PBE).

Crystal structure
```
La4NiPb2
1.0
6.7059 0.0000 0.0000
0.0000 7.0719 0.0000
-2.6317 0.0000 9.5153
La Ni Pb
8 2 4
Cartesian
1.0451 1.7680 0.9791 La
-0.1854 0.0325 7.1897 La
-0.1854 3.5034 7.1897 La
0.9638 5.3039 3.8196 La
3.1104 1.7680 5.6957 La
4.2596 3.5684 2.3256 La
4.2596 7.0394 2.3256 La
3.0291 5.3039 8.5362 La
2.3185 1.7680 3.2307 Ni
1.7557 5.3039 6.2846 Ni
-0.1799 1.7680 4.2345 Pb
1.9455 5.3039 0.5545 Pb
2.1287 1.7680 8.9608 Pb
4.2541 5.3039 5.2808 Pb
```

Principal peaks in the range 10 to 90 degrees two-theta, sorted by position:
| two_theta | d [Å] | I/Imax |
| --- | --- | --- |
| 25.19 | 3.536 | 24 |
| 27.60 | 3.232 | 33 |
| 27.83 | 3.205 | 34 |
| 29.11 | 3.067 | 33 |
| 30.41 | 2.939 | 32 |
| 30.62 | 2.919 | 32 |
| 31.49 | 2.841 | 100 |
| 31.67 | 2.826 | 24 |
| 34.67 | 2.588 | 48 |
| 45.99 | 1.973 | 26 |

No. 7
This entry pairs a crystal structure of La2Ni2Pb with its computed PXRD pattern. Radiation: Cu Kα (weighted mean of Kα1 and Kα2). Structure: a structure optimized by DFT (PBE).

Crystal structure
```
La2Ni2Pb
1.0
-2.7872 2.7872 3.9688
2.7872 -2.7872 3.9688
2.7872 2.7872 -3.9688
La Ni Pb
2 2 1
Cartesian
2.7872 0.0000 1.9844 La
0.0000 2.7872 1.9844 La
0.0000 0.0000 1.1567 Ni
0.0000 0.0000 6.7808 Ni
0.0000 0.0000 3.9688 Pb
```

Principal peaks in the range 10 to 90 degrees two-theta, sorted by position:
| two_theta | d [Å] | I/Imax |
| --- | --- | --- |
| 19.46 | 4.562 | 25 |
| 32.00 | 2.797 | 100 |
| 32.11 | 2.787 | 93 |
| 37.63 | 2.390 | 35 |
| 46.05 | 1.971 | 34 |
| 50.29 | 1.814 | 30 |
| 56.97 | 1.617 | 14 |
| 57.18 | 1.611 | 39 |
| 75.86 | 1.254 | 14 |
| 76.39 | 1.247 | 24 |

No. 8
This entry pairs a crystal structure of La4Ni2Pb with its computed PXRD pattern. Radiation: Cu Kα (weighted mean of Kα1 and Kα2). Structure: a structure optimized by DFT (PBE).

Crystal structure
```
La4Ni2Pb
1.0
0.0000 6.7084 7.1256
4.5871 0.0000 7.1256
4.5871 6.7084 0.0000
La Ni Pb
8 4 2
Cartesian
2.6198 3.0165 2.9288 La
6.5544 6.3707 6.4916 La
4.2609 7.0461 2.9288 La
4.2609 3.0165 7.7595 La
4.9134 10.4003 6.4916 La
4.9134 6.3707 11.3223 La
2.6198 7.0461 7.7595 La
6.5544 10.4003 11.3223 La
0.0000 0.0000 0.0000 Ni
2.2936 3.3542 0.0000 Ni
2.2936 0.0000 3.5628 Ni
0.0000 3.3542 3.5628 Ni
3.4403 5.0313 5.3442 Pb
5.7339 8.3855 8.9069 Pb
```

Principal peaks in the range 10 to 90 degrees two-theta, sorted by position:
| two_theta | d [Å] | I/Imax |
| --- | --- | --- |
| 18.16 | 4.884 | 69 |
| 26.63 | 3.347 | 68 |
| 29.10 | 3.069 | 80 |
| 30.63 | 2.918 | 100 |
| 33.60 | 2.668 | 74 |
| 35.44 | 2.533 | 76 |
| 36.80 | 2.442 | 39 |
| 48.09 | 1.892 | 38 |
| 55.84 | 1.646 | 23 |
| 70.61 | 1.334 | 23 |

No. 9
This entry pairs a crystal structure of La2Ni4Sn3Pb with its computed PXRD pattern. Radiation: Cu Kα (weighted mean of Kα1 and Kα2). Structure: a structure optimized by DFT (PBE).

Crystal structure
```
La2Ni4Sn3Pb
1.0
4.5310 0.0000 0.0000
0.0000 4.5310 0.0000
0.0000 0.0000 10.2783
La Ni Sn Pb
2 4 3 1
Cartesian
0.0000 2.2655 2.4207 La
2.2655 0.0000 7.8576 La
0.0000 0.0000 0.0000 Ni
0.0000 2.2655 6.5059 Ni
2.2655 0.0000 3.7724 Ni
2.2655 2.2655 0.0000 Ni
0.0000 2.2655 9.0270 Sn
2.2655 0.0000 1.2513 Sn
2.2655 2.2655 5.1392 Sn
0.0000 0.0000 5.1392 Pb
```

Principal peaks in the range 10 to 90 degrees two-theta, sorted by position:
| two_theta | d [Å] | I/Imax |
| --- | --- | --- |
| 29.20 | 3.059 | 24 |
| 32.77 | 2.733 | 53 |
| 32.94 | 2.719 | 100 |
| 39.79 | 2.266 | 69 |
| 45.24 | 2.005 | 26 |
| 48.64 | 1.872 | 17 |
| 52.46 | 1.744 | 28 |
| 57.53 | 1.602 | 26 |
| 61.37 | 1.511 | 15 |
| 67.91 | 1.380 | 25 |

No. 10
This entry pairs a crystal structure of La3NiPd with its computed PXRD pattern. Radiation: Cu Kα (weighted mean of Kα1 and Kα2). Structure: a structure optimized by DFT (PBE).

Crystal structure
```
La3NiPd
1.0
8.0005 -2.0339 0.0000
8.0005 2.0339 0.0000
-0.8295 0.0000 8.3785
La Ni Pd
6 2 2
Cartesian
0.0000 0.0000 0.0000 La
2.3379 0.0000 2.9472 La
5.7472 0.0000 2.1791 La
8.0850 0.0000 5.1227 La
10.6390 0.0000 8.3208 La
12.6173 0.0000 5.1864 La
8.6733 0.0000 1.9837 Ni
15.4168 0.0000 3.1317 Ni
2.1786 0.0000 6.1616 Pd
5.0769 0.0000 7.3458 Pd
```

Principal peaks in the range 10 to 90 degrees two-theta, sorted by position:
| two_theta | d [Å] | I/Imax |
| --- | --- | --- |
| 29.04 | 3.075 | 74 |
| 29.39 | 3.039 | 77 |
| 30.26 | 2.954 | 88 |
| 31.54 | 2.836 | 100 |
| 32.05 | 2.793 | 43 |
| 33.77 | 2.654 | 48 |
| 35.81 | 2.508 | 81 |
| 39.07 | 2.305 | 49 |
| 44.55 | 2.034 | 55 |
| 54.31 | 1.689 | 67 |

No. 11
This entry pairs a crystal structure of La2Ni3Sn4Pd with its computed PXRD pattern. Radiation: Cu Kα (weighted mean of Kα1 and Kα2). Structure: a structure optimized by DFT (PBE).

Crystal structure
```
La2Ni3Sn4Pd
1.0
4.5456 0.0000 0.0000
0.0000 4.5456 0.0000
0.0000 0.0000 10.3026
La Ni Sn Pd
2 3 4 1
Cartesian
0.0000 2.2728 2.5149 La
2.2728 0.0000 7.7877 La
0.0000 0.0000 0.0000 Ni
0.0000 2.2728 6.4193 Ni
2.2728 0.0000 3.8833 Ni
0.0000 0.0000 5.1513 Sn
0.0000 2.2728 8.9417 Sn
2.2728 0.0000 1.3609 Sn
2.2728 2.2728 5.1513 Sn
2.2728 2.2728 0.0000 Pd
```

Principal peaks in the range 10 to 90 degrees two-theta, sorted by position:
| two_theta | d [Å] | I/Imax |
| --- | --- | --- |
| 32.68 | 2.740 | 54 |
| 32.84 | 2.727 | 100 |
| 39.66 | 2.273 | 68 |
| 45.11 | 2.010 | 22 |
| 48.51 | 1.877 | 21 |
| 52.30 | 1.749 | 28 |
| 57.33 | 1.607 | 24 |
| 64.38 | 1.447 | 18 |
| 67.65 | 1.385 | 31 |
| 86.95 | 1.120 | 14 |

No. 12
This entry pairs a crystal structure of La3Pm2Ni2 with its computed PXRD pattern. Radiation: Cu Kα (weighted mean of Kα1 and Kα2). Structure: a structure optimized by DFT (PBE).

Crystal structure
```
La3Pm2Ni2
1.0
3.8333 0.0000 0.0000
1.9064 6.1096 0.0000
1.9164 2.6882 8.4379
La Pm Ni
3 2 2
Cartesian
0.0000 0.0000 0.0000 La
1.9135 2.7157 4.8338 La
5.7427 6.0822 3.6041 La
3.8316 5.4316 6.8162 Pm
3.8245 3.3663 1.6218 Pm
1.9141 1.2032 1.7992 Ni
5.7421 7.5946 6.6387 Ni
```

Principal peaks in the range 10 to 90 degrees two-theta, sorted by position:
| two_theta | d [Å] | I/Imax |
| --- | --- | --- |
| 27.90 | 3.198 | 41 |
| 29.26 | 3.052 | 42 |
| 29.68 | 3.010 | 58 |
| 30.49 | 2.932 | 51 |
| 30.82 | 2.901 | 62 |
| 32.11 | 2.788 | 60 |
| 33.31 | 2.690 | 38 |
| 34.44 | 2.604 | 100 |
| 47.43 | 1.917 | 31 |
| 58.06 | 1.589 | 30 |

No. 13
This entry pairs a crystal structure of LaPrNi with its computed PXRD pattern. Radiation: Cu Kα (weighted mean of Kα1 and Kα2). Structure: a structure optimized by DFT (PBE).

Crystal structure
```
LaPrNi
1.0
3.8381 0.0000 0.0000
1.9117 6.4080 0.0000
1.9056 1.3331 6.7606
La Pr Ni
2 2 2
Cartesian
0.9575 1.5378 0.7331 La
6.6979 6.2033 6.0274 La
2.8693 2.4580 3.8891 Pr
4.7861 5.2832 2.8714 Pr
2.8676 3.8639 1.2184 Ni
4.7878 3.8773 5.5421 Ni
```

Principal peaks in the range 10 to 90 degrees two-theta, sorted by position:
| two_theta | d [Å] | I/Imax |
| --- | --- | --- |
| 27.43 | 3.251 | 41 |
| 28.39 | 3.143 | 51 |
| 30.53 | 2.928 | 46 |
| 31.43 | 2.846 | 100 |
| 32.31 | 2.771 | 55 |
| 32.41 | 2.763 | 52 |
| 35.17 | 2.552 | 38 |
| 40.29 | 2.238 | 40 |
| 47.37 | 1.919 | 31 |
| 55.70 | 1.650 | 33 |